# 1
Diffraction record for Ba3Ta2Se9. The powder X-ray diffraction pattern is computed, not measured: it uses a structure optimized by DFT (PBE) and Cu Kα X-rays.

Top 10 peaks for 2θ from 10° to 90°, by intensity:
Position (°2θ)  d [Å]  I (rel.)
32.7  2.738  100.0
30.3  2.951  99.5
24.4  3.648  62.0
15.3  5.793  52.6
28.7  3.114  50.9
50.0  1.824  49.8
38.3  2.351  44.8
33.4  2.681  44.7
36.6  2.458  44.2
28.9  3.085  43.7

Structural model:
```
data_Ba3Ta2Se9
_cell_length_a 7.4623
_cell_length_b 12.5791
_cell_length_c 17.8581
_cell_angle_alpha 90.00
_cell_angle_beta 97.57
_cell_angle_gamma 90.00
_symmetry_space_group_name_H-M 'P 1'
_symmetry_Int_Tables_number 1
_symmetry_space_group_name_Hall 'P 1'
loop_
_atom_site_label
_atom_site_type_symbol
_atom_site_fract_x
_atom_site_fract_y
_atom_site_fract_z
Ba1 Ba 0.2375 0.0881 0.0834
Ba2 Ba 0.2375 0.4119 0.5834
Ba3 Ba 0.2433 0.0691 0.4208
Ba4 Ba 0.2433 0.4309 0.9208
Ba5 Ba 0.2456 0.7432 0.7470
Ba6 Ba 0.2456 0.7568 0.2470
Ba7 Ba 0.7544 0.2432 0.7530
Ba8 Ba 0.7544 0.2568 0.2530
Ba9 Ba 0.7567 0.5691 0.0792
Ba10 Ba 0.7567 0.9309 0.5792
Ba11 Ba 0.7625 0.5881 0.4166
Ba12 Ba 0.7625 0.9119 0.9166
Ta1 Ta 0.2179 0.0568 0.8498
Ta2 Ta 0.2179 0.4432 0.3498
Ta3 Ta 0.2774 0.0661 0.6545
Ta4 Ta 0.2774 0.4339 0.1545
Ta5 Ta 0.7226 0.5661 0.8455
Ta6 Ta 0.7226 0.9339 0.3455
Ta7 Ta 0.7821 0.5568 0.6502
Ta8 Ta 0.7821 0.9432 0.1502
Se1 Se 0.9999 0.0251 0.2509
Se2 Se 0.9999 0.4749 0.7509
Se3 Se 0.0001 0.5251 0.2491
Se4 Se 0.0001 0.9749 0.7491
Se5 Se 0.0018 0.6505 0.5825
Se6 Se 0.0018 0.8495 0.0825
Se7 Se 0.0143 0.1907 0.6181
Se8 Se 0.0143 0.3093 0.1181
Se9 Se 0.1989 0.5847 0.0715
Se10 Se 0.1989 0.9153 0.5715
Se11 Se 0.2531 0.2269 0.7576
Se12 Se 0.2531 0.2731 0.2576
Se13 Se 0.3154 0.5818 0.4392
Se14 Se 0.3154 0.9182 0.9392
Se15 Se 0.4638 0.2047 0.8802
Se16 Se 0.4638 0.2953 0.3802
Se17 Se 0.4884 0.5170 0.2599
Se18 Se 0.4884 0.9830 0.7599
Se19 Se 0.4952 0.1562 0.5853
Se20 Se 0.4952 0.3438 0.0853
Se21 Se 0.5048 0.6562 0.9147
Se22 Se 0.5048 0.8438 0.4147
Se23 Se 0.5116 0.0170 0.2401
Se24 Se 0.5116 0.4830 0.7401
Se25 Se 0.5362 0.7047 0.6198
Se26 Se 0.5362 0.7953 0.1198
Se27 Se 0.6846 0.0818 0.0608
Se28 Se 0.6846 0.4182 0.5608
Se29 Se 0.7469 0.7269 0.7424
Se30 Se 0.7469 0.7731 0.2424
Se31 Se 0.8011 0.0847 0.4285
Se32 Se 0.8011 0.4153 0.9285
Se33 Se 0.9857 0.6907 0.8819
Se34 Se 0.9857 0.8093 0.3819
Se35 Se 0.9982 0.1505 0.9175
Se36 Se 0.9982 0.3495 0.4175
```



# 2
Diffraction record for BaTaSe3. The powder X-ray diffraction pattern is computed, not measured: it uses a structure optimized by DFT (PBE) and Cu Kα X-rays.

Top 10 peaks for 2θ from 10° to 90°, by intensity:
Position (°2θ)  d [Å]  I (rel.)
32.2  2.783  100.0
14.1  6.303  70.4
41.8  2.159  62.2
24.5  3.639  51.7
50.1  1.820  41.2
33.4  2.681  40.3
54.9  1.674  21.4
49.1  1.857  20.6
84.3  1.149  18.8
37.8  2.382  18.7

Structural model:
```
data_BaTaSe3
_cell_length_a 7.2784
_cell_length_b 7.2784
_cell_length_c 5.9259
_cell_angle_alpha 90.00
_cell_angle_beta 90.00
_cell_angle_gamma 120.00
_symmetry_space_group_name_H-M 'P 1'
_symmetry_Int_Tables_number 1
_symmetry_space_group_name_Hall 'P 1'
loop_
_atom_site_label
_atom_site_type_symbol
_atom_site_fract_x
_atom_site_fract_y
_atom_site_fract_z
Ba1 Ba 0.3333 0.6667 0.2500
Ba2 Ba 0.6667 0.3333 0.7500
Ta1 Ta 0.0000 0.0000 0.0000
Ta2 Ta 0.0000 0.0000 0.5000
Se1 Se 0.1724 0.3449 0.7500
Se2 Se 0.1724 0.8276 0.7500
Se3 Se 0.3449 0.1724 0.2500
Se4 Se 0.6551 0.8276 0.7500
Se5 Se 0.8276 0.1724 0.2500
Se6 Se 0.8276 0.6551 0.2500
```



# 3
Diffraction record for Ba3ThSe7. The powder X-ray diffraction pattern is computed, not measured: it uses a structure optimized by DFT (PBE) and Cu Kα X-rays.

Top 10 peaks for 2θ from 10° to 90°, by intensity:
Position (°2θ)  d [Å]  I (rel.)
31.7  2.822  100.0
28.2  3.162  74.6
33.5  2.677  66.5
30.3  2.946  63.0
22.6  3.936  60.1
28.7  3.115  56.4
46.1  1.968  51.8
17.6  5.028  40.8
32.6  2.750  40.7
43.0  2.105  35.6

Structural model:
```
data_Ba3ThSe7
_cell_length_a 8.4806
_cell_length_b 8.4806
_cell_length_c 8.4806
_cell_angle_alpha 139.34
_cell_angle_beta 83.56
_cell_angle_gamma 110.70
_symmetry_space_group_name_H-M 'P 1'
_symmetry_Int_Tables_number 1
_symmetry_space_group_name_Hall 'P 1'
loop_
_atom_site_label
_atom_site_type_symbol
_atom_site_fract_x
_atom_site_fract_y
_atom_site_fract_z
Ba1 Ba 0.0000 0.0000 0.0000
Ba2 Ba 0.4475 0.7082 0.7393
Ba3 Ba 0.9689 0.7082 0.2607
Th1 Th 0.5925 0.0925 0.5000
Se1 Se 0.3031 0.0074 0.7043
Se2 Se 0.3031 0.5988 0.2957
Se3 Se 0.3194 0.0518 0.2676
Se4 Se 0.6502 0.6502 0.0000
Se5 Se 0.7842 0.0518 0.7324
Se6 Se 0.7912 0.3863 0.4049
Se7 Se 0.9814 0.3863 0.5951
```



> Which formula does entry 3 have?

Ba3ThSe7